No. 1
# GaAuSO
Theoretical powder XRD pattern, λ = 1.5418 Å (Cu Kα). Input: a crystal structure in OQMD, relaxed with GGA-PBE.
Peak positions follow from Bragg's law for the DFT cell and can differ from measured ones.

Crystal structure
Lattice parameters (Å, degrees): 3.611 6.784 5.842 90.00 90.00 90.00
Space group Pmc2_1 (No. 26)
Unique sites:
Ga 0.000 0.127 0.000 x2
Au 0.500 0.318 0.510 x2
S 0.500 0.322 0.099 x2
O 0.000 0.097 0.683 x2

The 12 most intense peaks (10 to 90 degrees two-theta), in order of falling intensity:
32.0 deg, I 100; 30.6 deg, I 52; 30.5 deg, I 52; 28.0 deg, I 45; 20.1 deg, I 40; 47.4 deg, I 31; 60.2 deg, I 31; 55.3 deg, I 31; 57.5 deg, I 30; 24.7 deg, I 22; 26.3 deg, I 21; 36.3 deg, I 20

---

No. 2
# NdSm2NiPt8
Theoretical powder XRD pattern, λ = 1.5418 Å (Cu Kα). Input: a crystal structure in OQMD, relaxed with GGA-PBE.
Peak positions follow from Bragg's law for the DFT cell and can differ from measured ones.

Crystal structure
Lattice parameters (Å, degrees): 5.4409 5.4409 26.1356 90.00 90.00 120.00
Space group R-3m (No. 166, hexagonal axes)
Unique sites:
Nd 0.0000 0.0000 0.0000 x3
Sm 0.0000 0.0000 0.1403 x6
Ni 0.0000 0.0000 0.5000 x3
Pt 0.0000 0.0000 0.3328 x6
Pt 0.0013 0.5007 0.9122 x18

The 12 most intense peaks (10 to 90 degrees two-theta), in order of falling intensity:
39.0 deg, I 100; 42.1 deg, I 51; 38.4 deg, I 46; 69.0 deg, I 31; 40.7 deg, I 30; 41.5 deg, I 27; 62.9 deg, I 25; 83.9 deg, I 22; 42.6 deg, I 19; 30.5 deg, I 17; 32.9 deg, I 16; 73.6 deg, I 15

---

No. 3
# LiPrNO
Theoretical powder XRD pattern, λ = 1.5418 Å (Cu Kα). Input: a crystal structure in OQMD, relaxed with GGA-PBE.
Peak positions follow from Bragg's law for the DFT cell and can differ from measured ones.

Crystal structure
Lattice parameters (Å, degrees): 4.665 3.741 5.883 90.00 90.00 90.00
Space group Pmma (No. 51)
Unique sites:
Li 0.250 0.000 0.230 x2
Pr 0.250 0.500 0.727 x2
N 0.000 0.000 0.500 x2
O 0.250 0.500 0.131 x2

The 12 most intense peaks (10 to 90 degrees two-theta), in order of falling intensity:
24.4 deg, I 100; 34.3 deg, I 99; 23.8 deg, I 69; 39.0 deg, I 42; 45.8 deg, I 33; 30.4 deg, I 32; 56.5 deg, I 27; 49.9 deg, I 23; 38.6 deg, I 23; 55.2 deg, I 22; 56.0 deg, I 20; 50.5 deg, I 17

---

Q: Which formula does entry 3 have?
A: LiPrNO